This entry pairs a crystal structure of WS2N2O2 with its theoretical X-ray powder pattern. Radiation: λ = 1.5418 Å (Cu Kα). Structure: the GGA+U geometry in Alexandria.
Lines closer than 0.1° are merged.

Structural model:
Cell lengths 9.1026, 9.3945, 8.7231 Å; angles 90.00, 94.70, 90.00 degrees
Space group Cc (No. 9)
One atom of each set of equivalent atoms:
W 0.0000 0.1735 0.0000
S 0.0994 0.0352 0.2094
S 0.4012 0.4672 0.2924
N 0.0347 0.3794 0.4512
N 0.4649 0.1211 0.0502
O 0.1460 0.2781 0.9469
O 0.3536 0.2219 0.5520

Top 8 peaks for 5 to 70 degrees two-theta, in order of falling intensity:
hkl, 2θ/deg, Rel. int.
1 1 -1, 16.5, 100
1 1 1, 17.5, 86
1 1 0, 13.6, 76
2 0 0, 19.6, 62
0 2 1, 21.5, 60
2 2 -1, 28.6, 41
0 2 2, 28.0, 35
0 0 2, 20.4, 34